Record 1
Structure and theoretical X-ray powder pattern of K4Mo2H6S2O9 (a GGA+U-relaxed structure; copper Kα).

Atomic structure:
a = 6.5784 Å, b = 6.5784 Å, c = 19.0330 Å
α = 97.11°, β = 97.11°, γ = 80.17°
Fractional positions:
K  0.1303  0.7383  0.9396
K  0.1936  0.2225  0.7850
K  0.2225  0.1936  0.2850
K  0.2617  0.8697  0.5604
K  0.7383  0.1303  0.4396
K  0.7775  0.8064  0.7150
K  0.8064  0.7775  0.2150
K  0.8697  0.2617  0.0604
Mo  0.3078  0.5409  0.1210
Mo  0.4591  0.6922  0.3790
Mo  0.5409  0.3078  0.6210
Mo  0.6922  0.4591  0.8790
H  0.0645  0.4623  0.4229
H  0.2008  0.2931  0.4660
H  0.2740  0.7110  0.7895
H  0.2890  0.7260  0.7105
H  0.2931  0.2008  0.9660
H  0.4623  0.0645  0.9229
H  0.5377  0.9355  0.0771
H  0.7069  0.7992  0.0340
H  0.7110  0.2740  0.2895
H  0.7260  0.2890  0.2105
H  0.7992  0.7069  0.5340
H  0.9355  0.5377  0.5771
S  0.1103  0.7645  0.3757
S  0.2355  0.8897  0.1243
S  0.7645  0.1103  0.8757
S  0.8897  0.2355  0.6243
O  0.0796  0.3143  0.4297
O  0.1430  0.4570  0.1754
O  0.2075  0.7925  0.7500
O  0.2495  0.4287  0.0319
O  0.3143  0.0796  0.9297
O  0.4227  0.5377  0.8500
O  0.4287  0.2495  0.5319
O  0.4570  0.1430  0.6754
O  0.4623  0.5773  0.6500
O  0.5377  0.4227  0.3500
O  0.5430  0.8570  0.3246
O  0.5713  0.7505  0.4681
O  0.5773  0.4623  0.1500
O  0.6857  0.9204  0.0703
O  0.7505  0.5713  0.9681
O  0.7925  0.2075  0.2500
O  0.8570  0.5430  0.8246
O  0.9204  0.6857  0.5703

The 10 most intense peaks (10° ≤ 2θ ≤ 90°), low angle first:
- 2θ 13.74, I 522
- 2θ 14.05, I 1000
- 2θ 18.89, I 672
- 2θ 21.53, I 752
- 2θ 22.22, I 687
- 2θ 25.39, I 560
- 2θ 26.17, I 401
- 2θ 27.61, I 569
- 2θ 29.08, I 747
- 2θ 42.66, I 409



Record 2
Structure and theoretical X-ray powder pattern of K3MoHS4O (a GGA+U-relaxed structure; copper Kα).

Atomic structure:
a = 9.7419 Å, b = 6.5091 Å, c = 8.2844 Å
α = 90.00°, β = 90.00°, γ = 90.00°
Fractional positions:
K  0.0000  0.0011  0.0000
K  0.2283  0.6055  0.7417
K  0.2717  0.3945  0.2417
K  0.5000  0.9989  0.5000
K  0.7283  0.3945  0.2417
K  0.7717  0.6055  0.7417
Mo  0.0000  0.9994  0.4918
Mo  0.5000  0.0006  0.9918
H  0.0000  0.5911  0.1678
H  0.5000  0.4089  0.6678
S  0.0000  0.3388  0.5232
S  0.0000  0.4973  0.0218
S  0.1856  0.9064  0.3529
S  0.3144  0.0936  0.8529
S  0.5000  0.5027  0.5218
S  0.5000  0.6612  0.0232
S  0.6856  0.0936  0.8529
S  0.8144  0.9064  0.3529
O  0.0000  0.8713  0.6808
O  0.5000  0.1287  0.1808

The 10 most intense peaks (10° ≤ 2θ ≤ 90°), low angle first:
- 2θ 13.60, I 270
- 2θ 14.03, I 402
- 2θ 19.59, I 516
- 2θ 22.80, I 298
- 2θ 25.49, I 361
- 2θ 27.40, I 270
- 2θ 28.28, I 1000
- 2θ 34.88, I 229
- 2θ 36.91, I 236
- 2θ 39.79, I 294